Computed powder diffraction line list of Rb2IrIBr6 for CuKα, from a structure optimized by DFT (GGA-PBE).
No peak broadening, texture or thermal motion is included.

The 6 most intense peaks (2θ = 10–90°), in order of rising 2θ:
13.29 deg, intensity 42
14.87 deg, intensity 70
22.13 deg, intensity 62
30.00 deg, intensity 100
32.94 deg, intensity 49
45.15 deg, intensity 65

Crystal structure
a = 8.0665 Å, b = 8.0665 Å, c = 8.0665 Å
α = 117.04°, β = 117.04°, γ = 95.21°
Element x y z (fractional)
Rb  0.2500  0.7500  0.5000
Rb  0.7500  0.2500  0.5000
Ir  0.0000  0.0000  0.0000
I  0.5000  0.5000  0.0000
Br  0.2096  0.2096  0.4192
Br  0.2096  0.7904  0.0000
Br  0.2350  0.2350  0.0000
Br  0.7650  0.7650  0.0000
Br  0.7904  0.2096  0.0000
Br  0.7904  0.7904  0.5808